# Sn8TePd2
Calculated XRD peak list, Cu Kα X-rays. Input: a crystal structure in OQMD, relaxed with GGA-PBE.

Structural model:
```
Sn8TePd2
1.0
10.576 0.000 0.000
0.000 10.576 0.000
0.000 0.000 10.289
Sn Te Pd
32 4 8
Cartesian
0.000 0.000 1.863 Sn
0.000 0.000 8.426 Sn
0.364 3.006 3.129 Sn
0.364 3.006 7.160 Sn
1.069 9.507 5.145 Sn
1.801 8.775 0.000 Sn
1.837 1.837 0.000 Sn
2.282 5.652 2.015 Sn
2.282 5.652 8.274 Sn
3.006 0.364 3.129 Sn
3.006 0.364 7.160 Sn
3.451 7.125 5.145 Sn
3.487 3.487 5.145 Sn
4.219 4.219 0.000 Sn
4.924 8.294 2.015 Sn
4.924 8.294 8.274 Sn
5.288 5.288 3.282 Sn
5.288 5.288 7.007 Sn
5.652 2.282 2.015 Sn
5.652 2.282 8.274 Sn
6.357 6.357 0.000 Sn
7.089 7.089 5.145 Sn
7.125 3.451 5.145 Sn
7.570 10.212 3.129 Sn
7.570 10.212 7.160 Sn
8.294 4.924 2.015 Sn
8.294 4.924 8.274 Sn
8.739 8.739 0.000 Sn
8.775 1.801 0.000 Sn
9.507 1.069 5.145 Sn
10.212 7.570 3.129 Sn
10.212 7.570 7.160 Sn
0.000 5.288 0.000 Te
0.000 5.288 5.145 Te
5.288 0.000 0.000 Te
5.288 0.000 5.145 Te
2.298 8.278 2.723 Pd
2.298 8.278 7.566 Pd
2.990 2.990 2.422 Pd
2.990 2.990 7.867 Pd
7.586 7.586 2.422 Pd
7.586 7.586 7.867 Pd
8.278 2.298 2.723 Pd
8.278 2.298 7.566 Pd
```

The 10 most intense peaks (2θ = 10–90°), by intensity:
Position (°2θ)	intensity	hkl
32.24	100	2 1 3
31.92	84	3 1 2
38.27	46	4 0 2
39.25	41	4 1 2
34.88	31	0 0 4
36.03	30	3 3 0
33.90	30	4 0 0
26.72	28	3 0 1
53.79	27	5 2 3
34.98	22	4 1 0